# 1
Simulated powder X-ray diffraction pattern
Compound: K2PbAu2Cl6
Radiation: Cu Ka
Structure: a structure optimized by DFT (GGA-PBE)
Intensities are scaled so that the largest is 100.

Top 10 peaks for 2θ from 10° to 80°, in order of rising 2θ:
hkl 2 0 0, 2θ = 15.09°, I = 56; hkl 1 1 -1, 2θ = 16.30°, I = 81; hkl 3 1 -1, 2θ = 22.57°, I = 100; hkl 0 2 0, 2θ = 23.36°, I = 46; hkl 1 1 -2, 2θ = 26.63°, I = 72; hkl 2 2 1, 2θ = 34.55°, I = 28; hkl 5 1 -1, 2θ = 35.11°, I = 33; hkl 3 3 -1, 2θ = 40.59°, I = 24; hkl 4 2 -3, 2θ = 43.15°, I = 40; hkl 6 2 -2, 2θ = 46.04°, I = 29

Lattice parameters (Å, degrees): 13.851 7.615 7.771 90.00 122.01 90.00
Space group C2/m (No. 12)
Inequivalent atoms, fractional coordinates:
K (0.238, 0.000, 0.192) [4 per cell]
Pb (0.000, 0.000, 0.500) [2 per cell]
Au (0.062, 0.500, 0.224) [4 per cell]
Cl (0.077, 0.255, 0.824) [8 per cell]
Cl (0.234, 0.000, 0.595) [4 per cell]



# 2
Simulated powder X-ray diffraction pattern
Compound: KTl2AuCl8
Radiation: Cu Ka
Structure: a structure optimized by DFT (GGA-PBE)
Intensities are scaled so that the largest is 100.

Top 10 peaks for 2θ from 10° to 80°, in order of rising 2θ:
hkl 1 0 1, 2θ = 15.76°, I = 17; hkl 1 0 4, 2θ = 19.47°, I = 100; hkl 1 1 0, 2θ = 26.97°, I = 54; hkl 0 1 8, 2θ = 28.36°, I = 43; hkl 0 2 4, 2θ = 33.49°, I = 32; hkl 2 0 8, 2θ = 39.54°, I = 19; hkl 2 1 4, 2θ = 43.52°, I = 30; hkl 1 1 12, 2θ = 45.35°, I = 35; hkl 3 0 0, 2θ = 47.65°, I = 23; hkl 1 2 8, 2θ = 48.52°, I = 22

Lattice parameters (Å, degrees): 6.6107 6.6107 30.1361 90.00 90.00 120.00
Space group R32 (No. 155, hexagonal axes)
Inequivalent atoms, fractional coordinates:
K (0.0000, 0.0000, 0.0000) [3 per cell]
Tl (0.0000, 0.0000, 0.2489) [6 per cell]
Au (0.0000, 0.0000, 0.5000) [3 per cell]
Cl (0.0000, 0.0000, 0.3314) [6 per cell]
Cl (0.0006, 0.3617, 0.7738) [18 per cell]